# SmMg2Ni9
Theoretical XRD peak list, Cu Kα (weighted mean of Kα1 and Kα2). Input: a DFT-relaxed cell (PBE, the Materials Project).
Kinematic intensities with the Lorentz-polarization factor, no thermal factor.

Principal peaks in the range 2θ from 10° to 80°, low angle first:
- hkl 0 0 3, 2θ = 11.27°, I 42
- hkl 1 0 4, 2θ = 25.97°, I 25
- hkl 1 1 0, 2θ = 36.87°, I 22
- hkl 0 1 8, 2θ = 37.24°, I 18
- hkl 0 2 1, 2θ = 43.02°, I 30
- hkl 2 0 2, 2θ = 43.55°, I 21
- hkl 1 1 6, 2θ = 43.71°, I 100
- hkl 0 0 12, 2θ = 46.26°, I 29
- hkl 0 3 6, 2θ = 71.17°, I 22
- hkl 2 2 0, 2θ = 78.47°, I 19

Structural model:
abc: 4.8753 4.8753 23.5498
angles: 90.00 90.00 120.00
Space group R-3m (No. 166, hexagonal axes)
Unique sites:
Sm  0.0000  0.0000  0.0000
Mg  0.0000  0.0000  0.1441
Ni  0.0000  0.0000  0.3335
Ni  0.0000  0.0000  0.5000
Ni  0.0024  0.5012  0.9151



# ThPd
Theoretical XRD peak list, Cu Kα (weighted mean of Kα1 and Kα2). Input: a DFT-relaxed cell (PBE, the Materials Project).
Kinematic intensities with the Lorentz-polarization factor, no thermal factor.

Principal peaks in the range 2θ from 10° to 80°, low angle first:
- hkl 1 1 1, 2θ = 27.50°, I 59
- hkl 2 1 0, 2θ = 31.34°, I 100
- hkl 1 0 2, 2θ = 32.76°, I 83
- hkl 2 1 1, 2θ = 34.92°, I 90
- hkl 1 1 2, 2θ = 38.32°, I 80
- hkl 0 2 0, 2θ = 39.26°, I 55
- hkl 3 0 1, 2θ = 40.14°, I 30
- hkl 1 2 2, 2θ = 52.03°, I 46
- hkl 4 0 1, 2θ = 52.56°, I 27
- hkl 4 2 1, 2θ = 67.53°, I 26

Structural model:
abc: 7.290 4.590 5.898
angles: 90.00 90.00 90.00
Space group Pnma (No. 62)
Unique sites:
Th  0.179  0.250  0.141
Pd  0.047  0.250  0.650



# Nd4CdPd
Theoretical XRD peak list, Cu Kα (weighted mean of Kα1 and Kα2). Input: a DFT-relaxed cell (PBE, the Materials Project).
Kinematic intensities with the Lorentz-polarization factor, no thermal factor.

Principal peaks in the range 2θ from 10° to 80°, low angle first:
- hkl 3 3 1, 2θ = 27.39°, I 22
- hkl 4 2 2, 2θ = 30.86°, I 47
- hkl 5 1 1, 2θ = 32.78°, I 100
- hkl 4 4 0, 2θ = 35.79°, I 31
- hkl 5 5 3, 2θ = 49.31°, I 8
- hkl 7 3 3, 2θ = 52.79°, I 9
- hkl 6 6 0, 2θ = 54.88°, I 45
- hkl 5 5 5, 2θ = 56.11°, I 14
- hkl 9 3 3, 2θ = 65.42°, I 16
- hkl 9 5 1, 2θ = 68.36°, I 9

Structural model:
abc: 14.194 14.194 14.194
angles: 90.00 90.00 90.00
Space group F-43m (No. 216)
Unique sites:
Nd  0.000  0.000  0.185
Nd  0.058  0.250  0.750
Nd  0.101  0.101  0.399
Cd  0.170  0.170  0.170
Pd  0.107  0.107  0.607



# LuAl3Pb2O8
Theoretical XRD peak list, Cu Kα (weighted mean of Kα1 and Kα2). Input: a DFT-relaxed cell (PBE, the Materials Project).
Kinematic intensities with the Lorentz-polarization factor, no thermal factor.

Principal peaks in the range 2θ from 10° to 80°, low angle first:
- hkl 1 1 0, 2θ = 13.20°, I 69
- hkl 2 0 0, 2θ = 18.71°, I 28
- hkl 2 2 1, 2θ = 28.23°, I 100
- hkl 3 1 0, 2θ = 29.79°, I 76
- hkl 3 1 1, 2θ = 31.28°, I 76
- hkl 3 3 0, 2θ = 40.35°, I 47
- hkl 5 1 0, 2θ = 48.97°, I 28
- hkl 5 1 1, 2θ = 49.97°, I 41
- hkl 4 4 0, 2θ = 54.75°, I 41
- hkl 5 2 2, 2θ = 55.67°, I 25

Structural model:
abc: 9.484 9.484 9.484
angles: 90.00 90.00 90.00
Space group Pn-3m (No. 224, origin choice 2)
Unique sites:
Lu  0.000  0.000  0.000
Al  0.000  0.250  0.750
Pb  0.116  0.116  0.384
O  0.090  0.090  0.766
O  0.135  0.135  0.135



# CsBr
Theoretical XRD peak list, Cu Kα (weighted mean of Kα1 and Kα2). Input: a DFT-relaxed cell (PBE, the Materials Project).
Kinematic intensities with the Lorentz-polarization factor, no thermal factor.

Principal peaks in the range 2θ from 10° to 80°, low angle first:
- hkl 1 1 1, 2θ = 20.79°, I 9
- hkl 2 0 0, 2θ = 24.05°, I 100
- hkl 2 2 0, 2θ = 34.26°, I 79
- hkl 3 1 1, 2θ = 40.42°, I 5
- hkl 2 2 2, 2θ = 42.30°, I 29
- hkl 4 0 0, 2θ = 49.24°, I 14
- hkl 4 2 0, 2θ = 55.52°, I 39
- hkl 4 2 2, 2θ = 61.36°, I 29
- hkl 4 4 0, 2θ = 72.19°, I 9
- hkl 6 0 0, 2θ = 77.35°, I 18

Structural model:
abc: 7.402 7.402 7.402
angles: 90.00 90.00 90.00
Space group Fm-3m (No. 225)
Unique sites:
Cs  0.000  0.000  0.000
Br  0.000  0.000  0.500



# SmH8S3N3O10
Theoretical XRD peak list, Cu Kα (weighted mean of Kα1 and Kα2). Input: a DFT-relaxed cell (PBE, the Materials Project).
Kinematic intensities with the Lorentz-polarization factor, no thermal factor.

Principal peaks in the range 2θ from 10° to 80°, low angle first:
- hkl 0 1 0, 2θ = 10.33°, I 100
- hkl 1 0 0, 2θ = 13.36°, I 20
- hkl 1 1 0, 2θ = 14.88°, I 19
- hkl 1 1 1, 2θ = 15.31°, I 17
- hkl 1 2 1, 2θ = 20.47°, I 30
- hkl 0 2 2, 2θ = 23.10°, I 31
- hkl 1 0 2, 2θ = 23.59°, I 29
- hkl 2 1 1, 2θ = 26.49°, I 21
- hkl 1 3 1, 2θ = 28.73°, I 19
- hkl 0 0 3, 2θ = 30.17°, I 18

Structural model:
abc: 6.885 9.523 9.617
angles: 67.57 81.73 74.50
Space group P-1 (No. 2)
Unique sites:
Sm  0.129  0.078  0.184
H  0.013  0.381  0.724
H  0.154  0.413  0.127
H  0.204  0.487  0.319
H  0.337  0.357  0.021
H  0.380  0.248  0.551
H  0.390  0.322  0.683
H  0.418  0.814  0.692
H  0.457  0.622  0.729
S  0.219  0.758  0.563
S  0.248  0.691  0.114
S  0.308  0.090  0.784
N  0.117  0.565  0.231
N  0.316  0.259  0.652
N  0.431  0.731  0.645
O  0.044  0.772  0.671
O  0.166  0.739  0.966
O  0.170  0.031  0.729
O  0.210  0.907  0.436
O  0.221  0.825  0.162
O  0.230  0.130  0.919
O  0.231  0.324  0.098
O  0.247  0.622  0.523
O  0.457  0.598  0.124
O  0.493  0.022  0.192



# Ti4V
Theoretical XRD peak list, Cu Kα (weighted mean of Kα1 and Kα2). Input: a DFT-relaxed cell (PBE, the Materials Project).
Kinematic intensities with the Lorentz-polarization factor, no thermal factor.

Principal peaks in the range 2θ from 10° to 80°, low angle first:
- hkl 0 0 10, 2θ = 39.63°, I 18
- hkl 0 2 0, 2θ = 39.88°, I 100
- hkl 1 1 7, 2θ = 44.59°, I 1
- hkl 0 2 10, 2θ = 57.44°, I 11
- hkl 2 0 0, 2θ = 57.94°, I 6
- hkl 1 1 13, 2θ = 64.12°, I 2
- hkl 1 1 15, 2θ = 72.08°, I 9
- hkl 1 3 5, 2θ = 72.35°, I 11
- hkl 2 0 10, 2θ = 72.48°, I 5
- hkl 2 2 0, 2θ = 72.61°, I 6

Structural model:
abc: 3.184 4.527 22.744
angles: 90.00 90.00 90.00
Space group Fmmm (No. 69)
Unique sites:
Ti  0.000  0.000  0.091
Ti  0.000  0.000  0.301
V  0.000  0.000  0.500



# Na3SrTiNb3O12
Theoretical XRD peak list, Cu Kα (weighted mean of Kα1 and Kα2). Input: a DFT-relaxed cell (PBE, the Materials Project).
Kinematic intensities with the Lorentz-polarization factor, no thermal factor.

Principal peaks in the range 2θ from 10° to 80°, low angle first:
- hkl 1 0 1, 2θ = 15.76°, I 20
- hkl 0 0 2, 2θ = 22.24°, I 21
- hkl 0 2 0, 2θ = 22.43°, I 40
- hkl 2 0 2, 2θ = 31.80°, I 100
- hkl 2 2 0, 2θ = 31.93°, I 54
- hkl 0 0 4, 2θ = 45.39°, I 23
- hkl 0 4 0, 2θ = 45.78°, I 43
- hkl -2 2 4, 2θ = 56.53°, I 16
- hkl 4 2 -2, 2θ = 56.79°, I 26
- hkl 0 4 -4, 2θ = 66.37°, I 12

Structural model:
abc: 7.925 7.930 7.993
angles: 90.11 90.10 90.12
Space group P-1 (No. 2)
Unique sites:
Na  0.250  0.249  0.249
Na  0.250  0.250  0.748
Na  0.250  0.751  0.751
Sr  0.250  0.750  0.248
Ti  0.000  0.500  0.000
Ti  0.500  0.000  0.500
Nb  0.000  0.000  0.000
Nb  0.000  0.000  0.500
Nb  0.000  0.500  0.500
Nb  0.500  0.000  0.000
Nb  0.500  0.500  0.000
Nb  0.500  0.500  0.500
O  0.011  0.502  0.249
O  0.013  0.997  0.250
O  0.030  0.251  0.995
O  0.037  0.750  0.501
O  0.249  0.535  0.994
O  0.250  0.467  0.507
O  0.250  0.961  0.991
O  0.251  0.029  0.506
O  0.466  0.250  0.997
O  0.466  0.751  0.502
O  0.488  0.504  0.250
O  0.488  0.995  0.250



# SrCeEuNbO6
Theoretical XRD peak list, Cu Kα (weighted mean of Kα1 and Kα2). Input: a DFT-relaxed cell (PBE, the Materials Project).
Kinematic intensities with the Lorentz-polarization factor, no thermal factor.

Principal peaks in the range 2θ from 10° to 80°, low angle first:
- hkl 0 2 0, 2θ = 29.32°, I 43
- hkl 1 1 -2, 2θ = 29.80°, I 100
- hkl 1 1 2, 2θ = 30.02°, I 99
- hkl 2 0 0, 2θ = 30.45°, I 47
- hkl 0 0 4, 2θ = 42.81°, I 68
- hkl 2 0 -4, 2θ = 53.20°, I 13
- hkl 3 1 -2, 2θ = 53.58°, I 22
- hkl 3 1 2, 2θ = 53.99°, I 24
- hkl 2 2 -4, 2θ = 61.90°, I 15
- hkl 1 1 6, 2θ = 70.71°, I 13

Structural model:
abc: 5.871 6.093 8.443
angles: 90.15 90.57 90.07
Space group P-1 (No. 2)
Unique sites:
Sr  0.018  0.061  0.248
Ce  0.000  0.500  0.500
Ce  0.500  0.000  0.000
Eu  0.481  0.563  0.252
Nb  0.000  0.500  0.000
Nb  0.500  0.000  0.500
O  0.107  0.526  0.767
O  0.182  0.783  0.055
O  0.217  0.812  0.445
O  0.286  0.315  0.056
O  0.321  0.286  0.445
O  0.399  0.029  0.733